(1)
Structure and theoretical X-ray diffraction stick pattern of Li2ReH6 (a cell relaxed with GGA-PBE; Cu Kα X-rays).

Most intense lines, 10 to 90 degrees two-theta, by angle:
| 2θ/deg | intensity |
| --- | --- |
| 18.1 | 61.4 |
| 26.5 | 100.0 |
| 35.4 | 28.5 |
| 37.2 | 46.4 |
| 40.0 | 33.6 |
| 51.9 | 16.3 |
| 58.3 | 22.8 |
| 64.7 | 19.8 |

```
Li2ReH6
1.0
3.5864 0.0000 0.0000
0.0000 3.5864 0.0000
0.0000 0.0000 9.8081
Li Re H
4 2 12
direct
0.0000 0.0000 0.1728
0.0000 0.0000 0.8272
0.5000 0.5000 0.3272
0.5000 0.5000 0.6728
0.0000 0.0000 0.5000
0.5000 0.5000 0.0000
0.1558 0.1558 0.0000
0.1659 0.1659 0.3444
0.1659 0.1659 0.6556
0.3341 0.6659 0.1556
0.3341 0.6659 0.8444
0.3442 0.6558 0.5000
0.6558 0.3442 0.5000
0.6659 0.3341 0.1556
0.6659 0.3341 0.8444
0.8341 0.8341 0.3444
0.8341 0.8341 0.6556
0.8442 0.8442 0.0000
```

---

(2)
Structure and theoretical X-ray diffraction stick pattern of Ca2Al3Cu2 (a cell relaxed with GGA-PBE; Cu Kα X-rays).

Most intense lines, 10 to 90 degrees two-theta, by angle:
| 2θ/deg | intensity |
| --- | --- |
| 17.0 | 75.5 |
| 23.5 | 51.4 |
| 34.5 | 49.8 |
| 35.9 | 100.0 |
| 36.3 | 47.5 |
| 38.9 | 46.4 |
| 41.1 | 88.6 |
| 43.6 | 54.1 |

```
Ca2Al3Cu2
1.0
10.7677 0.0000 0.0000
0.0000 4.1530 0.0000
-3.7127 0.0000 6.2431
Ca Al Cu
4 6 4
direct
0.1385 0.0000 0.2711
0.3615 0.5000 0.7289
0.6385 0.5000 0.2711
0.8615 0.0000 0.7289
0.0000 0.5000 0.5000
0.1458 0.5000 0.9367
0.3542 0.0000 0.0633
0.5000 0.0000 0.5000
0.6458 0.0000 0.9367
0.8542 0.5000 0.0633
0.1281 0.0000 0.7032
0.3719 0.5000 0.2968
0.6281 0.5000 0.7032
0.8719 0.0000 0.2968
```

---

(3)
Structure and theoretical X-ray diffraction stick pattern of Al2Ag3 (a cell relaxed with GGA-PBE; Cu Kα X-rays).

Most intense lines, 10 to 90 degrees two-theta, by angle:
| 2θ/deg | intensity |
| --- | --- |
| 13.9 | 28.7 |
| 29.2 | 11.9 |
| 38.2 | 100.0 |
| 43.6 | 16.8 |
| 44.8 | 30.4 |
| 64.4 | 19.6 |
| 76.5 | 12.1 |
| 78.3 | 21.6 |

```
Al2Ag3
1.0
6.3920 0.0000 0.0000
0.0000 6.3920 0.0000
0.0000 0.0000 4.1483
Al Ag
4 6
direct
0.1068 0.8040 0.0000
0.1960 0.1068 0.5000
0.8040 0.8932 0.5000
0.8932 0.1960 0.0000
0.0000 0.5000 0.5000
0.2874 0.4023 0.0000
0.4023 0.7126 0.5000
0.5000 0.0000 0.0000
0.5977 0.2874 0.5000
0.7126 0.5977 0.0000
```

---

(4)
Structure and theoretical X-ray diffraction stick pattern of Sr3GeAs4 (a cell relaxed with GGA-PBE; Cu Kα X-rays).

Most intense lines, 10 to 90 degrees two-theta, by angle:
| 2θ/deg | intensity |
| --- | --- |
| 26.8 | 64.5 |
| 28.3 | 61.5 |
| 29.0 | 76.7 |
| 32.8 | 97.1 |
| 32.9 | 100.0 |
| 33.5 | 84.7 |
| 34.0 | 85.8 |
| 38.4 | 91.2 |

```
Sr3GeAs4
1.0
8.4909 0.0000 0.0000
0.0000 10.7104 0.0000
0.0000 0.0000 9.9106
Sr Ge As
12 4 16
direct
0.0412 0.0525 0.1877
0.0412 0.4475 0.1877
0.1571 0.7500 0.4105
0.3429 0.2500 0.9105
0.4588 0.5525 0.6877
0.4588 0.9475 0.6877
0.5412 0.0525 0.3123
0.5412 0.4475 0.3123
0.6571 0.7500 0.0895
0.8429 0.2500 0.5895
0.9588 0.5525 0.8123
0.9588 0.9475 0.8123
0.2325 0.2500 0.4521
0.2675 0.7500 0.9521
0.7325 0.2500 0.0479
0.7675 0.7500 0.5479
0.0345 0.7500 0.1002
0.1346 0.0410 0.5381
0.1346 0.4590 0.5381
0.1972 0.7500 0.7163
0.3028 0.2500 0.2163
0.3654 0.5410 0.0381
0.3654 0.9590 0.0381
0.4655 0.2500 0.6002
0.5345 0.7500 0.3998
0.6346 0.0410 0.9619
0.6346 0.4590 0.9619
0.6972 0.7500 0.7837
0.8028 0.2500 0.2837
0.8654 0.5410 0.4619
0.8654 0.9590 0.4619
0.9655 0.2500 0.8998
```

---

(5)
Structure and theoretical X-ray diffraction stick pattern of Hf3P2H2 (a cell relaxed with GGA-PBE; Cu Kα X-rays).

Most intense lines, 10 to 90 degrees two-theta, by angle:
| 2θ/deg | intensity |
| --- | --- |
| 26.9 | 58.3 |
| 28.2 | 60.1 |
| 30.3 | 100.0 |
| 39.3 | 63.8 |
| 39.4 | 60.9 |
| 42.6 | 45.4 |
| 51.3 | 32.6 |
| 57.6 | 15.0 |

```
Hf3P2H2
1.0
4.9205 0.0000 0.0000
0.0000 6.3228 0.0000
-2.4218 0.0000 6.7572
Hf P H
6 4 4
direct
0.0000 0.0000 0.0000
0.0000 0.5000 0.5000
0.3362 0.0071 0.6892
0.3362 0.4929 0.1892
0.6638 0.5071 0.8108
0.6638 0.9929 0.3108
0.1760 0.6684 0.8502
0.1760 0.8316 0.3502
0.8240 0.1684 0.6498
0.8240 0.3316 0.1498
0.3391 0.1760 0.1541
0.3391 0.3240 0.6541
0.6609 0.6760 0.3459
0.6609 0.8240 0.8459
```

---

(6)
Structure and theoretical X-ray diffraction stick pattern of Mg14ZnCu (a cell relaxed with GGA-PBE; Cu Kα X-rays).

Most intense lines, 10 to 90 degrees two-theta, by angle:
| 2θ/deg | intensity |
| --- | --- |
| 32.9 | 22.1 |
| 33.7 | 14.9 |
| 35.5 | 35.4 |
| 37.5 | 100.0 |
| 38.2 | 40.6 |
| 59.7 | 14.8 |
| 65.0 | 16.3 |
| 71.4 | 15.7 |

```
Mg14ZnCu
1.0
10.1250 0.0000 0.0000
0.0000 3.1644 5.3251
0.0000 -3.1644 5.3251
Mg Zn Cu
14 1 1
direct
0.0000 0.0000 0.0000
0.0000 0.4951 0.9965
0.0000 0.4996 0.4996
0.0000 0.9965 0.4951
0.2493 0.8288 0.8288
0.2530 0.3293 0.3293
0.2726 0.3276 0.8212
0.2726 0.8212 0.3276
0.5000 0.0126 0.5130
0.5000 0.5130 0.0126
0.7274 0.3276 0.8212
0.7274 0.8212 0.3276
0.7470 0.3293 0.3293
0.7507 0.8288 0.8288
0.5000 0.9996 0.9996
0.5000 0.4949 0.4949
```

---

(7)
Structure and theoretical X-ray diffraction stick pattern of K2Hg4Cl9 (a cell relaxed with GGA-PBE; Cu Kα X-rays).

Most intense lines, 10 to 90 degrees two-theta, by angle:
| 2θ/deg | intensity |
| --- | --- |
| 13.9 | 61.2 |
| 14.2 | 92.3 |
| 17.2 | 90.3 |
| 21.7 | 95.9 |
| 23.1 | 63.5 |
| 23.7 | 100.0 |
| 24.2 | 70.1 |
| 24.7 | 88.4 |

```
K2Hg4Cl9
1.0
7.2353 0.0000 0.0000
3.4866 6.5013 0.0000
1.3885 0.5352 20.6318
K Hg Cl
4 8 18
direct
0.0121 0.4333 0.3783
0.0438 0.4951 0.1350
0.9562 0.5049 0.8650
0.9879 0.5667 0.6217
0.3021 0.8057 0.4851
0.3098 0.8161 0.8137
0.3525 0.8098 0.0090
0.3611 0.8306 0.2656
0.6389 0.1694 0.7344
0.6475 0.1902 0.9910
0.6902 0.1839 0.1863
0.6979 0.1943 0.5149
0.0410 0.1752 0.2472
0.0465 0.2169 0.5297
0.0558 0.8978 0.0870
0.2790 0.2014 0.7598
0.3243 0.5150 0.2539
0.3336 0.5173 0.9290
0.3934 0.9568 0.3872
0.4226 0.6103 0.5861
0.4526 0.1086 0.0811
0.5474 0.8914 0.9189
0.5774 0.3897 0.4139
0.6066 0.0432 0.6128
0.6664 0.4827 0.0710
0.6757 0.4850 0.7461
0.7210 0.7986 0.2402
0.9442 0.1022 0.9130
0.9535 0.7831 0.4703
0.9590 0.8248 0.7528
```

---

(8)
Structure and theoretical X-ray diffraction stick pattern of K2LiSnHg6 (a cell relaxed with GGA-PBE; Cu Kα X-rays).

Most intense lines, 10 to 90 degrees two-theta, by angle:
| 2θ/deg | intensity |
| --- | --- |
| 16.7 | 48.3 |
| 16.8 | 49.3 |
| 18.9 | 73.2 |
| 25.1 | 100.0 |
| 32.3 | 69.6 |
| 32.9 | 67.1 |
| 34.0 | 88.8 |
| 38.0 | 61.3 |

```
K2LiSnHg6
1.0
6.4427 0.0000 0.0000
3.1481 6.9789 0.0000
3.0997 0.8107 7.1114
K Li Sn Hg
2 1 1 6
direct
0.2331 0.2276 0.3032
0.7669 0.7724 0.6968
0.0000 0.0000 0.0000
0.5000 0.5000 0.5000
0.2345 0.7750 0.2407
0.2455 0.6250 0.8952
0.2586 0.2204 0.7730
0.7414 0.7796 0.2270
0.7545 0.3750 0.1048
0.7655 0.2250 0.7593
```

---

(9)
Structure and theoretical X-ray diffraction stick pattern of PuPa6Re (a cell relaxed with GGA-PBE; Cu Kα X-rays).

Most intense lines, 10 to 90 degrees two-theta, by angle:
| 2θ/deg | intensity |
| --- | --- |
| 19.6 | 14.9 |
| 28.1 | 24.9 |
| 32.5 | 23.2 |
| 33.6 | 17.8 |
| 35.1 | 100.0 |
| 44.0 | 13.7 |
| 50.1 | 16.5 |
| 50.7 | 31.7 |

```
PuPa6Re
1.0
6.6307 0.0000 0.0000
0.0000 9.7896 0.0000
-1.4046 0.0000 6.3616
Pu Pa Re
2 12 2
direct
0.0000 0.0000 0.0000
0.5000 0.5000 0.0000
0.1968 0.1706 0.2533
0.1968 0.8294 0.2533
0.2255 0.5000 0.2021
0.2745 0.0000 0.7979
0.3032 0.3294 0.7467
0.3032 0.6706 0.7467
0.6968 0.3294 0.2533
0.6968 0.6706 0.2533
0.7255 0.0000 0.2021
0.7745 0.5000 0.7979
0.8032 0.1706 0.7467
0.8032 0.8294 0.7467
0.0000 0.5000 0.5000
0.5000 0.0000 0.5000
```